Structure and computed X-ray powder pattern of PWO4F (the GGA+U geometry in Alexandria; a wavelength of 1.5418 Å).
Neutral-atom scattering factors, no anomalous dispersion.

Cell and atoms:
a b c (Å): 5.3804 5.3821 7.7163
angles (deg): 107.75 108.26 93.92
Positions (direct):
P 0.1023 0.4047 0.2521
P 0.8977 0.5953 0.7479
W 0.0000 0.0000 0.5000
W 0.5000 0.5000 0.0000
O 0.1537 0.2299 0.3800
O 0.1743 0.6997 0.3852
O 0.1924 0.6688 0.8853
O 0.2813 0.3497 0.1287
O 0.7187 0.6503 0.8713
O 0.8076 0.3312 0.1147
O 0.8257 0.3003 0.6148
O 0.8463 0.7701 0.6200
F 0.3419 0.1547 0.7525
F 0.6581 0.8453 0.2475

Largest 10 diffraction maxima, in order of falling intensity, 2θ from 10° to 90°:
hkl 0 1 -1, 2θ = 17.85°, I 100; hkl 1 0 1, 2θ = 25.36°, I 36; hkl 0 1 1, 2θ = 25.24°, I 36; hkl 1 1 -2, 2θ = 27.84°, I 35; hkl 1 -1 0, 2θ = 22.61°, I 31; hkl -2 1 1, 2θ = 37.05°, I 28; hkl 1 2 -3, 2θ = 43.91°, I 16; hkl 1 2 -1, 2θ = 38.93°, I 15; hkl 0 0 2, 2θ = 25.90°, I 14; hkl 1 1 2, 2θ = 46.14°, I 14